The following is a simulated powder diffraction line list of Pm4TmHg. It was derived from a cell relaxed with GGA-PBE, using CuKα.
No peak broadening, texture or thermal motion is included.

Cell lengths 3.663, 3.663, 14.077 Å; angles 90.00, 90.00, 90.00 degrees
Element x y z (fractional)
1 Pm 0.000 0.000 0.145
2 Pm 0.000 0.000 0.855
3 Pm 0.500 0.500 0.325
4 Pm 0.500 0.500 0.675
5 Tm 0.000 0.000 0.500
6 Hg 0.500 0.500 0.000

Peak list (10 most intense, 2θ = 5–70°, low angle first)
| h k l | 2theta | intensity |
| --- | --- | --- |
| 0 0 1 | 6.3 | 6 |
| 1 0 3 | 31.0 | 100 |
| 1 1 0 | 34.6 | 39 |
| 0 0 6 | 38.4 | 12 |
| 2 0 0 | 49.8 | 14 |
| 1 1 6 | 52.6 | 19 |
| 1 0 8 | 58.1 | 4 |
| 2 1 3 | 59.8 | 31 |
| 2 0 6 | 64.6 | 10 |
| 1 0 9 | 64.8 | 8 |